Entry 1:
Theoretical X-ray diffraction stick pattern of AgGeB4 for Cu Ka, from the PBE geometry in OQMD.
Peak positions follow from Bragg's law for the DFT cell and can differ from measured ones.

The 10 most intense peaks (5 to 70 degrees two-theta), low angle first:
| (hkl) | d (Å) | two_theta | I (rel.) |
| --- | --- | --- | --- |
| 0 0 1 | 7.520 | 11.77 | 9 |
| 0 0 2 | 3.760 | 23.66 | 42 |
| 1 0 0 | 2.655 | 33.76 | 65 |
| 0 0 3 | 2.504 | 35.86 | 7 |
| 1 0 2 | 2.169 | 41.64 | 100 |
| 0 0 4 | 1.880 | 48.42 | 12 |
| 1 0 3 | 1.823 | 50.04 | 1 |
| 1 1 0 | 1.534 | 60.35 | 42 |
| 1 1 1 | 1.502 | 61.75 | 1 |
| 1 1 2 | 1.420 | 65.79 | 16 |

Atomic structure:
```
data_AgGeB4
_chemical_formula_sum 'Ag1 Ge1 B4'
_space_group_name_H-M_alt 'P 6/m m m'
_space_group_IT_number 191
_space_group_name_Hall '-P 6 2'
_cell_length_a 3.0660
_cell_length_b 3.0660
_cell_length_c 7.5202
_cell_angle_alpha 90.00
_cell_angle_beta 90.00
_cell_angle_gamma 120.00
loop_
_atom_site_label
_atom_site_fract_x
_atom_site_fract_y
_atom_site_fract_z
Ag1 0.0000 0.0000 0.0000
Ge1 0.0000 0.0000 0.5000
B1 0.3333 0.6667 0.2647
```


Entry 2:
Theoretical X-ray diffraction stick pattern of Hf4ZnSnC2 for Cu Ka, from the PBE geometry in OQMD.
Peak positions follow from Bragg's law for the DFT cell and can differ from measured ones.

The 10 most intense peaks (5 to 70 degrees two-theta), low angle first:
| (hkl) | d (Å) | two_theta | I (rel.) |
| --- | --- | --- | --- |
| 0 0 2 | 7.186 | 12.32 | 10 |
| 1 0 0 | 2.864 | 31.23 | 23 |
| 1 0 1 | 2.809 | 31.86 | 5 |
| 1 0 3 | 2.458 | 36.55 | 100 |
| 0 0 6 | 2.395 | 37.55 | 19 |
| 1 0 6 | 1.837 | 49.61 | 15 |
| 1 1 0 | 1.654 | 55.57 | 21 |
| 1 0 9 | 1.395 | 67.11 | 16 |
| 2 0 3 | 1.372 | 68.37 | 16 |
| 1 1 6 | 1.361 | 69.01 | 20 |

Atomic structure:
```
data_Hf4ZnSnC2
_chemical_formula_sum 'Hf4 Zn1 Sn1 C2'
_space_group_name_H-M_alt 'P -6 m 2'
_space_group_IT_number 187
_space_group_name_Hall 'P -6 2'
_cell_length_a 3.3074
_cell_length_b 3.3074
_cell_length_c 14.3720
_cell_angle_alpha 90.00
_cell_angle_beta 90.00
_cell_angle_gamma 120.00
loop_
_atom_site_label
_atom_site_fract_x
_atom_site_fract_y
_atom_site_fract_z
Hf1 0.0000 0.0000 0.1599
Hf2 0.3333 0.6667 0.3319
Zn1 0.3333 0.6667 0.0000
Sn1 0.0000 0.0000 0.5000
C1 0.6667 0.3333 0.2465
```


Entry 3:
Theoretical X-ray diffraction stick pattern of Sr7Nb6O21 for Cu Ka, from the PBE geometry in OQMD.
Peak positions follow from Bragg's law for the DFT cell and can differ from measured ones.

The 10 most intense peaks (5 to 70 degrees two-theta), low angle first:
| (hkl) | d (Å) | two_theta | I (rel.) |
| --- | --- | --- | --- |
| 0 1 8 | 3.825 | 23.25 | 5 |
| 1 0 13 | 2.975 | 30.04 | 100 |
| 1 1 0 | 2.847 | 31.42 | 86 |
| 0 2 13 | 2.057 | 44.02 | 58 |
| 0 2 16 | 1.913 | 47.54 | 3 |
| 0 1 26 | 1.745 | 52.45 | 20 |
| 2 1 13 | 1.667 | 55.08 | 37 |
| 3 0 0 | 1.644 | 55.94 | 19 |
| 2 0 26 | 1.488 | 62.43 | 15 |
| 2 2 0 | 1.423 | 65.58 | 17 |

Atomic structure:
```
data_Sr7Nb6O21
_chemical_formula_sum 'Sr21 Nb18 O63'
_space_group_name_H-M_alt 'R -3'
_space_group_IT_number 148
_space_group_name_Hall '-R 3'
_cell_length_a 5.6939
_cell_length_b 5.6939
_cell_length_c 48.4964
_cell_angle_alpha 90.00
_cell_angle_beta 90.00
_cell_angle_gamma 120.00
loop_
_atom_site_label
_atom_site_fract_x
_atom_site_fract_y
_atom_site_fract_z
Sr1 0.0000 0.0000 0.0000
Sr2 0.0000 0.0000 0.1521
Sr3 0.0000 0.0000 0.2320
Sr4 0.0000 0.0000 0.3842
Nb1 0.0000 0.0000 0.0732
Nb2 0.0000 0.0000 0.3093
Nb3 0.0000 0.0000 0.4577
O1 0.0000 0.5000 0.0000
O2 0.0030 0.4366 0.8589
O3 0.0055 0.4759 0.6192
O4 0.0071 0.5491 0.2392
```


Entry 4:
Theoretical X-ray diffraction stick pattern of Ho4B6O15 for Cu Ka, from the PBE geometry in OQMD.
Peak positions follow from Bragg's law for the DFT cell and can differ from measured ones.

The 10 most intense peaks (5 to 70 degrees two-theta), low angle first:
| (hkl) | d (Å) | two_theta | I (rel.) |
| --- | --- | --- | --- |
| 0 0 2 | 9.279 | 9.53 | 27 |
| 1 1 1 | 3.943 | 22.55 | 57 |
| 2 0 -4 | 3.832 | 23.21 | 34 |
| 2 0 4 | 3.429 | 25.99 | 27 |
| 4 0 0 | 2.882 | 31.03 | 100 |
| 2 0 -6 | 2.864 | 31.23 | 22 |
| 1 1 -5 | 2.799 | 31.98 | 48 |
| 1 1 5 | 2.689 | 33.31 | 44 |
| 0 2 0 | 2.175 | 41.51 | 22 |
| 1 1 -9 | 1.870 | 48.69 | 21 |

Atomic structure:
```
data_Ho4B6O15
_chemical_formula_sum 'Ho16 B24 O60'
_space_group_name_H-M_alt 'C 1 2/c 1'
_space_group_IT_number 15
_space_group_name_Hall '-C 2yc'
_cell_length_a 11.5995
_cell_length_b 4.3509
_cell_length_c 18.6780
_cell_angle_alpha 90.00
_cell_angle_beta 96.52
_cell_angle_gamma 90.00
loop_
_atom_site_label
_atom_site_fract_x
_atom_site_fract_y
_atom_site_fract_z
Ho1 0.1349 0.2048 0.0995
Ho2 0.1370 0.2132 0.3041
B1 0.0687 0.2700 0.6947
B2 0.0952 0.2961 0.9129
B3 0.1685 0.1894 0.4747
O1 0.0000 0.1300 0.7500
O2 0.0162 0.1757 0.6207
O3 0.0658 0.4017 0.1972
O4 0.0826 0.3701 0.4301
O5 0.1272 0.1238 0.9798
O6 0.1786 0.2619 0.8607
O7 0.1828 0.1297 0.7044
O8 0.2097 0.2972 0.5503
```


Entry 5:
Theoretical X-ray diffraction stick pattern of K2ZnGe2O6 for Cu Ka, from the PBE geometry in OQMD.
Peak positions follow from Bragg's law for the DFT cell and can differ from measured ones.

The 10 most intense peaks (5 to 70 degrees two-theta), low angle first:
| (hkl) | d (Å) | two_theta | I (rel.) |
| --- | --- | --- | --- |
| 1 1 1 | 4.736 | 18.74 | 81 |
| 1 1 3 | 2.997 | 29.81 | 100 |
| 0 2 3 | 2.925 | 30.57 | 18 |
| 1 3 0 | 2.887 | 30.98 | 56 |
| 1 3 1 | 2.791 | 32.07 | 28 |
| 2 2 1 | 2.554 | 35.14 | 17 |
| 0 2 4 | 2.389 | 37.66 | 18 |
| 2 2 2 | 2.368 | 37.99 | 30 |
| 3 3 4 | 1.475 | 63.02 | 14 |
| 2 6 1 | 1.431 | 65.18 | 14 |

Atomic structure:
```
data_K2ZnGe2O6
_chemical_formula_sum 'K8 Zn4 Ge8 O24'
_space_group_name_H-M_alt 'C 2 2 21'
_space_group_IT_number 20
_space_group_name_Hall 'C 2c 2'
_cell_length_a 6.2281
_cell_length_b 9.7726
_cell_length_c 10.9532
_cell_angle_alpha 90.00
_cell_angle_beta 90.00
_cell_angle_gamma 90.00
loop_
_atom_site_label
_atom_site_fract_x
_atom_site_fract_y
_atom_site_fract_z
K1 0.1235 0.1741 0.0721
Zn1 0.0000 0.1901 0.7500
Ge1 0.1576 0.4814 0.8638
O1 0.0000 0.4358 0.2500
O2 0.0083 0.5000 0.5000
O3 0.1133 0.0819 0.6146
O4 0.2116 0.3101 0.8337
```


Entry 6:
Theoretical X-ray diffraction stick pattern of NdHIBr for Cu Ka, from the PBE geometry in OQMD.
Peak positions follow from Bragg's law for the DFT cell and can differ from measured ones.

The 10 most intense peaks (5 to 70 degrees two-theta), low angle first:
| (hkl) | d (Å) | two_theta | I (rel.) |
| --- | --- | --- | --- |
| 0 0 2 | 7.764 | 11.40 | 60 |
| 1 0 1 | 3.440 | 25.90 | 52 |
| 1 0 2 | 3.212 | 27.78 | 73 |
| 0 1 3 | 2.915 | 30.67 | 50 |
| 0 1 4 | 2.611 | 34.35 | 100 |
| 1 1 0 | 2.037 | 44.49 | 50 |
| 1 0 7 | 1.878 | 48.48 | 17 |
| 2 0 4 | 1.606 | 57.38 | 23 |
| 1 1 6 | 1.600 | 57.59 | 15 |
| 1 1 8 | 1.405 | 66.55 | 26 |

Atomic structure:
```
data_NdHIBr
_chemical_formula_sum 'Nd2 H2 I2 Br2'
_space_group_name_H-M_alt 'P -3 m 1'
_space_group_IT_number 164
_space_group_name_Hall '-P 3 2"'
_cell_length_a 4.0732
_cell_length_b 4.0732
_cell_length_c 15.5280
_cell_angle_alpha 90.00
_cell_angle_beta 90.00
_cell_angle_gamma 120.00
loop_
_atom_site_label
_atom_site_fract_x
_atom_site_fract_y
_atom_site_fract_z
Nd1 0.0000 0.0000 0.2438
H1 0.3333 0.6667 0.2469
I1 0.3333 0.6667 0.6150
Br1 0.3333 0.6667 0.8795
```